Theoretical PXRD pattern
Compound: Ac5Pm4Hg4
Radiation: Cu Ka
Structure: a cell relaxed with GGA-PBE

Main lines, low angle first (10° ≤ 2θ ≤ 90°):
hkl 3 0 1, d = 3.369 Å, 2θ = 26.5°, intensity 34.1; hkl 2 3 1, d = 2.996 Å, 2θ = 29.8°, intensity 100.0; hkl 2 4 0, d = 2.929 Å, 2θ = 30.5°, intensity 20.3; hkl 4 1 1, d = 2.724 Å, 2θ = 32.9°, intensity 31.2; hkl 0 0 2, d = 2.649 Å, 2θ = 33.8°, intensity 33.1; hkl 5 1 0, d = 2.569 Å, 2θ = 34.9°, intensity 19.3; hkl 2 4 2, d = 1.964 Å, 2θ = 46.2°, intensity 13.4; hkl 5 1 2, d = 1.844 Å, 2θ = 49.4°, intensity 14.6; hkl 2 7 1, d = 1.703 Å, 2θ = 53.8°, intensity 13.3; hkl 2 3 3, d = 1.588 Å, 2θ = 58.1°, intensity 16.4

Unit cell a=13.0972 b=13.0972 c=5.2973 alpha=90.00 beta=90.00 gamma=90.00
Space group I4/m (No. 87)
Unique sites:
Ac  0.0000  0.0000  0.0000
Ac  0.1273  0.1930  0.5000
Pm  0.0947  0.5962  0.5000
Hg  0.0786  0.7545  0.0000

***

Theoretical PXRD pattern
Compound: Ac3Pr7Hg4
Radiation: Cu Ka
Structure: a cell relaxed with GGA-PBE

Main lines, low angle first (10° ≤ 2θ ≤ 90°):
hkl 3 1 0, d = 3.677 Å, 2θ = 24.2°, intensity 14.8; hkl 3 1 -3, d = 3.165 Å, 2θ = 28.2°, intensity 23.8; hkl 1 1 2, d = 3.133 Å, 2θ = 28.5°, intensity 100.0; hkl 3 1 1, d = 3.021 Å, 2θ = 29.6°, intensity 18.1; hkl 4 0 -4, d = 2.992 Å, 2θ = 29.9°, intensity 13.5; hkl 5 1 -3, d = 2.931 Å, 2θ = 30.5°, intensity 13.3; hkl 5 1 0, d = 2.676 Å, 2θ = 33.5°, intensity 12.3; hkl 0 2 0, d = 2.600 Å, 2θ = 34.5°, intensity 53.2; hkl 3 1 -4, d = 2.559 Å, 2θ = 35.1°, intensity 13.2; hkl 9 1 -6, d = 1.751 Å, 2θ = 52.2°, intensity 14.9

Unit cell a=19.6260 b=5.2010 c=11.9662 alpha=90.00 beta=127.36 gamma=90.00
Space group C2/m (No. 12)
Unique sites:
Ac  0.0000  0.0000  0.0000
Ac  0.1842  0.5000  0.6847
Pr  0.0000  0.0000  0.5000
Pr  0.0138  0.5000  0.2850
Pr  0.1663  0.0000  0.4354
Pr  0.1961  0.5000  0.0348
Hg  0.1067  0.0000  0.8354
Hg  0.1601  0.5000  0.2519